The following is a calculated powder diffractogram of BaHo2P2. It was derived from a crystal structure in OQMD, relaxed with GGA-PBE, using Cu Kα (weighted mean of Kα1 and Kα2).
Kinematic intensities with the Lorentz-polarization factor, no thermal factor.

Crystal structure
```
data_BaHo2P2
_space_group_name_H-M_alt 'P 42 m c'
_space_group_IT_number 105
_cell_length_a 8.948
_cell_length_b 8.948
_cell_length_c 7.468
_cell_angle_alpha 90.00
_cell_angle_beta 90.00
_cell_angle_gamma 90.00
loop_
_space_group_symop_operation_xyz
'x,y,z'
'-y,x,z+1/2'
'-x,-y,z'
'y,-x,z+1/2'
'-x,y,z'
'y,x,z+1/2'
'x,-y,z'
'-y,-x,z+1/2'
loop_
_atom_site_label
_atom_site_type_symbol
_atom_site_fract_x
_atom_site_fract_y
_atom_site_fract_z
Ba1 Ba 0.000 0.000 0.000
Ba2 Ba 0.000 0.500 0.346
Ho1 Ho 0.193 0.500 0.929
Ho2 Ho 0.322 0.500 0.461
P1 P 0.259 0.272 0.190
```

Main lines, low angle first (15 to 90 degrees two-theta):
hkl 2 1 0, 22.22°, rel. 1000; hkl 0 0 2, 23.83°, rel. 715; hkl 1 1 2, 27.74°, rel. 345; hkl 2 0 2, 31.20°, rel. 462; hkl 3 0 1, 32.32°, rel. 518; hkl 2 1 2, 32.81°, rel. 535; hkl 3 1 1, 33.88°, rel. 998; hkl 2 2 2, 37.25°, rel. 358; hkl 3 2 1, 38.22°, rel. 774; hkl 4 0 0, 40.32°, rel. 396; hkl 3 2 2, 43.80°, rel. 417; hkl 0 0 4, 48.74°, rel. 434